Computed powder X-ray diffraction pattern of Sm2In5Br12 for Cu Ka, from the GGA-PBE geometry in Alexandria.
No peak broadening, texture or thermal motion is included.

Largest 8 diffraction maxima, by angle, 5 to 70 degrees two-theta:
| 2θ/deg | Rel. int. |
| --- | --- |
| 25.4 | 42 |
| 27.6 | 51 |
| 28.3 | 83 |
| 29.2 | 43 |
| 34.4 | 46 |
| 34.9 | 49 |
| 36.2 | 100 |
| 39.4 | 37 |

Structure:
Cell: 9.9577 9.9577 7.6326 Å, 104.94 104.94 63.24°
Sites, in units of the cell vectors:
Sm1 0.2494 0.7506 0.0000
Sm2 0.7506 0.2494 0.0000
In1 0.1512 0.1512 0.5158
In2 0.2486 0.2486 0.0010
In3 0.5000 0.5000 0.5000
In4 0.7514 0.7514 0.9990
In5 0.8488 0.8488 0.4842
Br1 0.0217 0.0217 0.7940
Br2 0.0223 0.6399 0.7718
Br3 0.2104 0.5929 0.2541
Br4 0.3601 0.9777 0.2282
Br5 0.4071 0.7896 0.7459
Br6 0.4173 0.4173 0.7972
Br7 0.5827 0.5827 0.2028
Br8 0.5929 0.2104 0.2541
Br9 0.6399 0.0223 0.7718
Br10 0.7896 0.4071 0.7459
Br11 0.9777 0.3601 0.2282
Br12 0.9783 0.9783 0.2060

=====

Computed powder X-ray diffraction pattern of Sm3Dy6Tm2Sc for Cu Ka, from the GGA-PBE geometry in Alexandria.
No peak broadening, texture or thermal motion is included.

Largest 8 diffraction maxima, by angle, 5 to 70 degrees two-theta:
| 2θ/deg | Rel. int. |
| --- | --- |
| 31.0 | 100 |
| 31.1 | 33 |
| 36.0 | 67 |
| 51.7 | 24 |
| 51.8 | 23 |
| 61.5 | 33 |
| 61.6 | 14 |
| 64.6 | 12 |

Structure:
Cell: 6.1229 6.1229 11.6869 Å, 95.00 95.00 119.96°
Sites, in units of the cell vectors:
Sm1 0.0000 0.0000 0.0000
Sm2 0.3334 0.6666 0.0000
Sm3 0.6666 0.3334 0.0000
Dy1 0.0876 0.4187 0.2560
Dy2 0.2502 0.2502 0.7441
Dy3 0.4187 0.0876 0.2560
Dy4 0.5813 0.9124 0.7440
Dy5 0.7498 0.7498 0.2559
Dy6 0.9124 0.5813 0.7440
Tm1 0.1666 0.8334 0.5000
Tm2 0.8334 0.1666 0.5000
Sc1 0.5000 0.5000 0.5000

=====

Computed powder X-ray diffraction pattern of Al2Si4Mo3 for Cu Ka, from the GGA-PBE geometry in Alexandria.
No peak broadening, texture or thermal motion is included.

Largest 8 diffraction maxima, by angle, 5 to 70 degrees two-theta:
| 2θ/deg | Rel. int. |
| --- | --- |
| 25.7 | 100 |
| 35.0 | 45 |
| 40.6 | 95 |
| 40.7 | 44 |
| 41.1 | 50 |
| 44.4 | 17 |
| 47.4 | 71 |
| 69.6 | 23 |

Structure:
Cell: 4.7210 4.7210 6.5864 Å, 90.07 90.07 120.24°
Sites, in units of the cell vectors:
Al1 0.2437 0.2437 0.3387
Al2 0.7563 0.7563 0.6613
Si1 0.2432 0.7568 0.0000
Si2 0.4146 0.0801 0.6677
Si3 0.9199 0.5854 0.3323
Si4 0.9248 0.0752 0.0000
Mo1 0.0811 0.4205 0.6759
Mo2 0.5795 0.9189 0.3241
Mo3 0.5850 0.4150 0.0000

=====

Computed powder X-ray diffraction pattern of UPd2S4 for Cu Ka, from the GGA-PBE geometry in Alexandria.
No peak broadening, texture or thermal motion is included.

Largest 8 diffraction maxima, by angle, 5 to 70 degrees two-theta:
| 2θ/deg | Rel. int. |
| --- | --- |
| 16.4 | 80 |
| 26.8 | 85 |
| 29.5 | 98 |
| 29.9 | 64 |
| 34.3 | 80 |
| 42.5 | 100 |
| 42.8 | 45 |
| 56.0 | 39 |

Structure:
Cell: 6.9307 6.9307 6.9307 Å, 119.01 104.94 104.91°
Sites, in units of the cell vectors:
U1 0.2500 0.3744 0.1244
U2 0.7500 0.1256 0.3756
Pd1 0.2074 0.7500 0.9574
Pd2 0.2926 0.2500 0.5426
Pd3 0.7074 0.9574 0.7500
Pd4 0.7926 0.5426 0.2500
S1 0.0114 0.9992 0.5921
S2 0.0933 0.5121 0.5010
S3 0.4067 0.9077 0.4189
S4 0.4886 0.0806 0.9877
S5 0.5112 0.5923 0.9990
S6 0.5929 0.5008 0.5123
S7 0.9071 0.4194 0.9079
S8 0.9888 0.9879 0.0811

=====

Computed powder X-ray diffraction pattern of SmTe2O5 for Cu Ka, from the GGA-PBE geometry in Alexandria.
No peak broadening, texture or thermal motion is included.

Largest 8 diffraction maxima, by angle, 5 to 70 degrees two-theta:
| 2θ/deg | Rel. int. |
| --- | --- |
| 19.0 | 43 |
| 23.8 | 77 |
| 27.5 | 69 |
| 28.3 | 71 |
| 28.5 | 100 |
| 30.2 | 33 |
| 42.2 | 33 |
| 55.8 | 33 |

Structure:
Cell: 7.3762 10.8142 7.3134 Å, 90.00 90.00 90.00°
Sites, in units of the cell vectors:
Sm1 0.0000 0.0541 0.2500
Sm2 0.0000 0.9459 0.7500
Sm3 0.5000 0.4459 0.7500
Sm4 0.5000 0.5541 0.2500
Te1 0.1026 0.3533 0.0220
Te2 0.1026 0.6467 0.5220
Te3 0.3974 0.1467 0.5220
Te4 0.3974 0.8533 0.0220
Te5 0.6026 0.1467 0.9780
Te6 0.6026 0.8533 0.4780
Te7 0.8974 0.3533 0.4780
Te8 0.8974 0.6467 0.9780
O1 0.0000 0.4390 0.2500
O2 0.0000 0.5610 0.7500
O3 0.1650 0.0639 0.5267
O4 0.1650 0.9361 0.0267
O5 0.1830 0.2169 0.1687
O6 0.1830 0.7831 0.6687
O7 0.3170 0.2831 0.6687
O8 0.3170 0.7169 0.1687
O9 0.3350 0.4361 0.0267
O10 0.3350 0.5639 0.5267
O11 0.5000 0.0610 0.7500
O12 0.5000 0.9390 0.2500
O13 0.6650 0.4361 0.4733
O14 0.6650 0.5639 0.9733
O15 0.6830 0.2831 0.8313
O16 0.6830 0.7169 0.3313
O17 0.8170 0.2169 0.3313
O18 0.8170 0.7831 0.8313
O19 0.8350 0.0639 0.9733
O20 0.8350 0.9361 0.4733